For Pu3ZnIr2, a DFT-relaxed cell (GGA-PBE, Alexandria) gives the calculated powder X-ray diffraction pattern in this record (Cu Kα X-rays).
Lines closer than 0.1° are merged.

Cell and atoms:
```
Pu3ZnIr2
1.0
2.372 -7.144 0.000
2.372 7.144 0.000
0.000 0.000 3.683
Pu Zn Ir
3 1 2
Direct
0.000 0.000 0.000 Pu
0.319 0.681 0.000 Pu
0.681 0.319 0.000 Pu
0.500 0.500 0.500 Zn
0.150 0.850 0.500 Ir
0.850 0.150 0.500 Ir
```

Main lines, in order of rising 2θ (10 to 90 degrees two-theta):
d [Å]  2θ/deg  I/Imax
2.483  36.18  100
2.381  37.78  18
2.372  37.93  23
1.841  49.50  11
1.681  54.61  13
1.455  64.01  10
1.394  67.17  10
1.390  67.37  17
1.241  76.78  10
1.153  83.92  9